Theoretical PXRD pattern of MgFe for Cu Kα (weighted mean of Kα1 and Kα2), from a structure optimized by DFT (GGA-PBE).

The 10 most intense peaks (2θ = 10–80°), by angle:
2theta	d_spacing	I (rel.)
15.01	5.903	49
17.78	4.989	60
39.69	2.271	100
39.83	2.263	82
41.20	2.191	82
54.67	1.679	15
55.25	1.663	19
59.47	1.554	15
71.18	1.325	18
73.99	1.281	23

a = 10.441 Å, b = 3.108 Å, c = 6.177 Å
α = 90.00°, β = 107.11°, γ = 90.00°
Space group Cm (No. 8)
Asymmetric unit:
Mg1 0.000 0.000 0.000 x2
Mg2 0.020 0.000 0.486 x2
Mg3 0.207 0.500 0.849 x2
Fe1 0.199 0.500 0.335 x2
Fe2 0.331 0.000 0.205 x2
Fe3 0.332 0.000 0.606 x2

Theoretical PXRD pattern of Mg3Fe5 for Cu Kα (weighted mean of Kα1 and Kα2), from a structure optimized by DFT (GGA-PBE).

The 10 most intense peaks (2θ = 10–80°), by angle:
2theta	d_spacing	I (rel.)
18.93	4.687	16
19.84	4.474	25
41.49	2.176	50
41.65	2.168	100
41.84	2.159	44
42.27	2.138	47
43.11	2.098	46
58.77	1.571	14
61.75	1.502	16
62.19	1.493	13

a = 5.175 Å, b = 6.702 Å, c = 7.359 Å
α = 77.39°, β = 73.97°, γ = 68.01°
Space group P-1 (No. 2)
Asymmetric unit:
Mg1 0.081 0.484 0.166 x2
Mg2 0.177 0.787 0.582 x2
Mg3 0.211 0.075 0.036 x2
Fe1 0.070 0.164 0.696 x2
Fe2 0.274 0.407 0.473 x2
Fe3 0.378 0.696 0.900 x2
Fe4 0.436 0.050 0.344 x2
Fe5 0.491 0.656 0.225 x2

Theoretical PXRD pattern of MgFe3 for Cu Kα (weighted mean of Kα1 and Kα2), from a structure optimized by DFT (GGA-PBE).

The 10 most intense peaks (2θ = 10–80°), by angle:
2theta	d_spacing	I (rel.)
17.87	4.963	33
21.64	4.106	9
42.57	2.124	100
43.20	2.094	98
43.49	2.081	49
44.11	2.053	47
60.82	1.523	14
63.68	1.461	29
78.14	1.223	13
78.76	1.215	14

a = 2.554 Å, b = 4.106 Å, c = 5.059 Å
α = 90.00°, β = 101.17°, γ = 90.00°
Space group P2/m (No. 10)
Asymmetric unit:
Mg1 0.000 0.000 0.000 x1
Fe1 0.263 0.500 0.726 x2
Fe2 0.500 0.000 0.500 x1

Theoretical PXRD pattern of MgMn4Fe for Cu Kα (weighted mean of Kα1 and Kα2), from a structure optimized by DFT (GGA-PBE).

The 10 most intense peaks (2θ = 10–80°), by angle:
2theta	d_spacing	I (rel.)
23.14	3.844	24
26.78	3.329	4
38.23	2.354	20
45.16	2.008	100
47.29	1.922	49
55.18	1.665	8
60.62	1.528	4
62.37	1.489	1
69.11	1.359	6
73.97	1.281	27

a = 6.658 Å, b = 6.658 Å, c = 6.658 Å
α = 90.00°, β = 90.00°, γ = 90.00°
Space group F-43m (No. 216)
Asymmetric unit:
Mg1 0.000 0.000 0.000 x4
Mn1 0.125 0.125 0.625 x16
Fe1 0.250 0.250 0.250 x4